(1)
Ba2Ho2CuPtO8: theoretical X-ray powder pattern (Cu Kα (weighted mean of Kα1 and Kα2)), based on a cell relaxed with PBE.
Neutral-atom scattering factors, no anomalous dispersion.

Crystal structure
```
data_Ba2Ho2CuPtO8
_symmetry_space_group_name_H-M 'P 1'
_symmetry_Int_Tables_number 1
_cell_length_a 13.3422
_cell_length_b 5.7218
_cell_length_c 10.4290
_cell_angle_alpha 90.00
_cell_angle_beta 90.00
_cell_angle_gamma 90.00
loop_
_symmetry_equiv_pos_as_xyz
'x,y,z'
loop_
_atom_site_label
_atom_site_type_symbol
_atom_site_fract_x
_atom_site_fract_y
_atom_site_fract_z
Ba1 Ba 0.0763 0.2500 0.0897
Ba2 Ba 0.2073 0.7500 0.3122
Ba3 Ba 0.2927 0.2500 0.8122
Ba4 Ba 0.4237 0.7500 0.5897
Ba5 Ba 0.5763 0.2500 0.4103
Ba6 Ba 0.7073 0.7500 0.1878
Ba7 Ba 0.7927 0.2500 0.6878
Ba8 Ba 0.9237 0.7500 0.9103
Ho1 Ho 0.0832 0.2500 0.4853
Ho2 Ho 0.1421 0.7500 0.6858
Ho3 Ho 0.3579 0.2500 0.1858
Ho4 Ho 0.4168 0.7500 0.9853
Ho5 Ho 0.5833 0.2500 0.0147
Ho6 Ho 0.6421 0.7500 0.8142
Ho7 Ho 0.8579 0.2500 0.3142
Ho8 Ho 0.9168 0.7500 0.5147
Cu1 Cu 0.0396 0.2500 0.7653
Cu2 Cu 0.4604 0.7500 0.2653
Cu3 Cu 0.5396 0.2500 0.7347
Cu4 Cu 0.9604 0.7500 0.2347
Pt1 Pt 0.1942 0.7500 0.9654
Pt2 Pt 0.3058 0.2500 0.4654
Pt3 Pt 0.6942 0.7500 0.5346
Pt4 Pt 0.8058 0.2500 0.0346
O1 O 0.0084 0.0062 0.6348
O2 O 0.0084 0.4938 0.6348
O3 O 0.0883 0.7500 0.1066
O4 O 0.1142 0.5079 0.8582
O5 O 0.1142 0.9921 0.8582
O6 O 0.2034 0.2500 0.3121
O7 O 0.2159 0.0090 0.5541
O8 O 0.2159 0.4910 0.5541
O9 O 0.2841 0.5090 0.0541
O10 O 0.2841 0.9910 0.0541
O11 O 0.2966 0.7500 0.8121
O12 O 0.3858 0.0079 0.3582
O13 O 0.3858 0.4921 0.3582
O14 O 0.4117 0.2500 0.6066
O15 O 0.4916 0.5062 0.1348
O16 O 0.4916 0.9938 0.1348
O17 O 0.5084 0.0062 0.8652
O18 O 0.5084 0.4938 0.8652
O19 O 0.5883 0.7500 0.3934
O20 O 0.6142 0.5079 0.6418
O21 O 0.6142 0.9921 0.6418
O22 O 0.7034 0.2500 0.1879
O23 O 0.7159 0.0090 0.9459
O24 O 0.7159 0.4910 0.9459
O25 O 0.7841 0.5090 0.4459
O26 O 0.7841 0.9910 0.4459
O27 O 0.7966 0.7500 0.6879
O28 O 0.8858 0.0079 0.1418
O29 O 0.8858 0.4921 0.1418
O30 O 0.9117 0.2500 0.8934
O31 O 0.9916 0.5062 0.3652
O32 O 0.9916 0.9938 0.3652
```

Top 8 peaks for 2θ = 10–90°, by angle:
2theta, I (rel.)
18.90, 22
26.72, 27
30.08, 26
30.83, 93
31.03, 100
31.26, 68
32.23, 25
45.87, 29

(2)
Ba2HoCu2S4: theoretical X-ray powder pattern (Cu Kα (weighted mean of Kα1 and Kα2)), based on a cell relaxed with PBE.
Neutral-atom scattering factors, no anomalous dispersion.

Crystal structure
```
data_Ba2HoCu2S4
_symmetry_space_group_name_H-M 'P 1'
_symmetry_Int_Tables_number 1
_cell_length_a 7.6349
_cell_length_b 7.6349
_cell_length_c 7.3464
_cell_angle_alpha 109.37
_cell_angle_beta 109.37
_cell_angle_gamma 30.16
loop_
_symmetry_equiv_pos_as_xyz
'x,y,z'
loop_
_atom_site_label
_atom_site_type_symbol
_atom_site_fract_x
_atom_site_fract_y
_atom_site_fract_z
Ba1 Ba 0.1352 0.1352 0.0653
Ba2 Ba 0.8648 0.8648 0.9347
Ho1 Ho 0.0000 0.0000 0.5000
Cu1 Cu 0.3208 0.3208 0.5082
Cu2 Cu 0.6792 0.6792 0.4918
S1 S 0.1993 0.1993 0.6808
S2 S 0.4783 0.4783 0.7424
S3 S 0.5217 0.5217 0.2576
S4 S 0.8007 0.8007 0.3192
```

Top 8 peaks for 2θ = 10–90°, by angle:
2theta, I (rel.)
23.29, 51
24.52, 66
25.82, 52
29.60, 99
32.69, 47
33.31, 91
35.09, 100
45.66, 50

(3)
Ba5Cu2I2: theoretical X-ray powder pattern (Cu Kα (weighted mean of Kα1 and Kα2)), based on a cell relaxed with PBE.
Neutral-atom scattering factors, no anomalous dispersion.

Crystal structure
```
data_Ba5Cu2I2
_symmetry_space_group_name_H-M 'P 1'
_symmetry_Int_Tables_number 1
_cell_length_a 10.2310
_cell_length_b 10.2310
_cell_length_c 9.0167
_cell_angle_alpha 90.00
_cell_angle_beta 90.00
_cell_angle_gamma 52.29
loop_
_symmetry_equiv_pos_as_xyz
'x,y,z'
loop_
_atom_site_label
_atom_site_type_symbol
_atom_site_fract_x
_atom_site_fract_y
_atom_site_fract_z
Ba1 Ba 0.0000 0.0000 0.0000
Ba2 Ba 0.0405 0.7233 0.6577
Ba3 Ba 0.2233 0.5405 0.1577
Ba4 Ba 0.2767 0.9595 0.6577
Ba5 Ba 0.4595 0.7767 0.1577
Ba6 Ba 0.5000 0.5000 0.5000
Ba7 Ba 0.5405 0.2233 0.8423
Ba8 Ba 0.7233 0.0405 0.3423
Ba9 Ba 0.7767 0.4595 0.8423
Ba10 Ba 0.9595 0.2767 0.3423
Cu1 Cu 0.1273 0.8727 0.3732
Cu2 Cu 0.3727 0.6273 0.8732
Cu3 Cu 0.6273 0.3727 0.1268
Cu4 Cu 0.8727 0.1273 0.6268
I1 I 0.2109 0.2109 0.0000
I2 I 0.2891 0.2891 0.5000
I3 I 0.7109 0.7109 0.5000
I4 I 0.7891 0.7891 0.0000
```

Top 8 peaks for 2θ = 10–90°, by angle:
2theta, I (rel.)
26.47, 43
27.73, 72
28.02, 92
29.48, 67
31.76, 100
32.98, 39
49.57, 41
55.36, 40

(4)
BaCuI4: theoretical X-ray powder pattern (Cu Kα (weighted mean of Kα1 and Kα2)), based on a cell relaxed with PBE.
Neutral-atom scattering factors, no anomalous dispersion.

Crystal structure
```
data_BaCuI4
_symmetry_space_group_name_H-M 'P 1'
_symmetry_Int_Tables_number 1
_cell_length_a 6.9799
_cell_length_b 11.4172
_cell_length_c 7.0315
_cell_angle_alpha 90.00
_cell_angle_beta 106.77
_cell_angle_gamma 90.00
loop_
_symmetry_equiv_pos_as_xyz
'x,y,z'
loop_
_atom_site_label
_atom_site_type_symbol
_atom_site_fract_x
_atom_site_fract_y
_atom_site_fract_z
Ba1 Ba 0.1303 0.2500 0.1498
Ba2 Ba 0.8697 0.7500 0.8502
Cu1 Cu 0.3887 0.7500 0.3677
Cu2 Cu 0.6113 0.2500 0.6323
I1 I 0.2091 0.5619 0.1857
I2 I 0.2091 0.9381 0.1857
I3 I 0.2638 0.2500 0.6802
I4 I 0.3369 0.7500 0.7125
I5 I 0.6631 0.2500 0.2875
I6 I 0.7362 0.7500 0.3198
I7 I 0.7909 0.0619 0.8143
I8 I 0.7909 0.4381 0.8143
```

Top 8 peaks for 2θ = 10–90°, by angle:
2theta, I (rel.)
15.52, 62
15.76, 50
26.45, 100
26.68, 36
26.94, 73
31.82, 56
35.61, 36
35.76, 34

(5)
BaCuI3: theoretical X-ray powder pattern (Cu Kα (weighted mean of Kα1 and Kα2)), based on a cell relaxed with PBE.
Neutral-atom scattering factors, no anomalous dispersion.

Crystal structure
```
data_BaCuI3
_symmetry_space_group_name_H-M 'P 1'
_symmetry_Int_Tables_number 1
_cell_length_a 9.1741
_cell_length_b 7.8044
_cell_length_c 11.0521
_cell_angle_alpha 90.00
_cell_angle_beta 90.00
_cell_angle_gamma 90.00
loop_
_symmetry_equiv_pos_as_xyz
'x,y,z'
loop_
_atom_site_label
_atom_site_type_symbol
_atom_site_fract_x
_atom_site_fract_y
_atom_site_fract_z
Ba1 Ba 0.1224 0.0508 0.0000
Ba2 Ba 0.3776 0.5508 0.5000
Ba3 Ba 0.6224 0.4492 0.0000
Ba4 Ba 0.8776 0.9492 0.5000
Cu1 Cu 0.1520 0.6044 0.1639
Cu2 Cu 0.3480 0.1044 0.6639
Cu3 Cu 0.6520 0.8956 0.1639
Cu4 Cu 0.8480 0.3956 0.6639
I1 I 0.0285 0.3646 0.4924
I2 I 0.1816 0.8475 0.6918
I3 I 0.1833 0.8522 0.3115
I4 I 0.3167 0.3522 0.8115
I5 I 0.3184 0.3475 0.1918
I6 I 0.4715 0.8646 0.9924
I7 I 0.5285 0.1354 0.4924
I8 I 0.6816 0.6525 0.6918
I9 I 0.6833 0.6478 0.3115
I10 I 0.8167 0.1478 0.8115
I11 I 0.8184 0.1525 0.1918
I12 I 0.9715 0.6354 0.9924
```

Top 8 peaks for 2θ = 10–90°, by angle:
2theta, I (rel.)
23.90, 37
25.23, 62
26.09, 98
27.74, 65
28.50, 100
29.67, 38
31.15, 43
44.99, 41

(6)
BaCuIO6: theoretical X-ray powder pattern (Cu Kα (weighted mean of Kα1 and Kα2)), based on a cell relaxed with PBE.
Neutral-atom scattering factors, no anomalous dispersion.

Crystal structure
```
data_BaCuIO6
_symmetry_space_group_name_H-M 'P 1'
_symmetry_Int_Tables_number 1
_cell_length_a 5.2525
_cell_length_b 5.2525
_cell_length_c 5.8164
_cell_angle_alpha 90.00
_cell_angle_beta 90.00
_cell_angle_gamma 120.00
loop_
_symmetry_equiv_pos_as_xyz
'x,y,z'
loop_
_atom_site_label
_atom_site_type_symbol
_atom_site_fract_x
_atom_site_fract_y
_atom_site_fract_z
Ba1 Ba 0.0000 0.0000 0.0000
Cu1 Cu 0.3333 0.6667 0.5000
I1 I 0.6667 0.3333 0.5000
O1 O 0.3925 0.0173 0.6891
O2 O 0.3925 0.3752 0.3109
O3 O 0.6248 0.0173 0.3109
O4 O 0.6248 0.6075 0.6891
O5 O 0.9827 0.3752 0.6891
O6 O 0.9827 0.6075 0.3109
```

Top 8 peaks for 2θ = 10–90°, by angle:
2theta, I (rel.)
15.23, 10
24.85, 100
30.74, 11
34.14, 30
42.69, 19
46.60, 40
51.22, 11
55.75, 20

(7)
Ba2CuIO2: theoretical X-ray powder pattern (Cu Kα (weighted mean of Kα1 and Kα2)), based on a cell relaxed with PBE.
Neutral-atom scattering factors, no anomalous dispersion.

Crystal structure
```
data_Ba2CuIO2
_symmetry_space_group_name_H-M 'P 1'
_symmetry_Int_Tables_number 1
_cell_length_a 11.2059
_cell_length_b 4.4401
_cell_length_c 14.2765
_cell_angle_alpha 90.00
_cell_angle_beta 91.55
_cell_angle_gamma 90.00
loop_
_symmetry_equiv_pos_as_xyz
'x,y,z'
loop_
_atom_site_label
_atom_site_type_symbol
_atom_site_fract_x
_atom_site_fract_y
_atom_site_fract_z
Ba1 Ba 0.0823 0.2500 0.4055
Ba2 Ba 0.1997 0.2500 0.8917
Ba3 Ba 0.3333 0.7500 0.1402
Ba4 Ba 0.4091 0.7500 0.6794
Ba5 Ba 0.5909 0.2500 0.3206
Ba6 Ba 0.6667 0.2500 0.8598
Ba7 Ba 0.8003 0.7500 0.1083
Ba8 Ba 0.9177 0.7500 0.5945
Cu1 Cu 0.1658 0.2500 0.6527
Cu2 Cu 0.4297 0.7500 0.9065
Cu3 Cu 0.5703 0.2500 0.0935
Cu4 Cu 0.8342 0.7500 0.3473
I1 I 0.0669 0.2500 0.1450
I2 I 0.3486 0.7500 0.4109
I3 I 0.6514 0.2500 0.5891
I4 I 0.9331 0.7500 0.8550
O1 O 0.0316 0.2500 0.5805
O2 O 0.2867 0.7500 0.9637
O3 O 0.2999 0.2500 0.7267
O4 O 0.4462 0.2500 0.1730
O5 O 0.5538 0.7500 0.8270
O6 O 0.7001 0.7500 0.2733
O7 O 0.7133 0.2500 0.0363
O8 O 0.9684 0.7500 0.4195
```

Top 8 peaks for 2θ = 10–90°, by angle:
2theta, I (rel.)
24.96, 40
25.60, 100
26.26, 28
26.45, 24
32.41, 22
35.74, 21
36.37, 20
40.63, 27

(8)
Ba8CuP3I4: theoretical X-ray powder pattern (Cu Kα (weighted mean of Kα1 and Kα2)), based on a cell relaxed with PBE.
Neutral-atom scattering factors, no anomalous dispersion.

Crystal structure
```
data_Ba8CuP3I4
_symmetry_space_group_name_H-M 'P 1'
_symmetry_Int_Tables_number 1
_cell_length_a 10.0588
_cell_length_b 10.0588
_cell_length_c 10.0588
_cell_angle_alpha 56.60
_cell_angle_beta 56.60
_cell_angle_gamma 56.60
loop_
_symmetry_equiv_pos_as_xyz
'x,y,z'
loop_
_atom_site_label
_atom_site_type_symbol
_atom_site_fract_x
_atom_site_fract_y
_atom_site_fract_z
Ba1 Ba 0.2269 0.7382 0.7382
Ba2 Ba 0.2334 0.2334 0.2334
Ba3 Ba 0.2618 0.2618 0.7731
Ba4 Ba 0.2618 0.7731 0.2618
Ba5 Ba 0.7382 0.2269 0.7382
Ba6 Ba 0.7382 0.7382 0.2269
Ba7 Ba 0.7666 0.7666 0.7666
Ba8 Ba 0.7731 0.2618 0.2618
Cu1 Cu 0.5000 0.5000 0.5000
P1 P 0.0000 0.0000 0.5000
P2 P 0.0000 0.5000 0.0000
P3 P 0.5000 0.0000 0.0000
I1 I 0.0000 0.0000 0.0000
I2 I 0.0000 0.5000 0.5000
I3 I 0.5000 0.0000 0.5000
I4 I 0.5000 0.5000 0.0000
```

Top 8 peaks for 2θ = 10–90°, by angle:
2theta, I (rel.)
25.78, 100
27.91, 21
35.80, 31
37.73, 40
46.26, 20
50.21, 16
61.16, 17
66.89, 14

(9)
Ba4CuPdI2: theoretical X-ray powder pattern (Cu Kα (weighted mean of Kα1 and Kα2)), based on a cell relaxed with PBE.
Neutral-atom scattering factors, no anomalous dispersion.

Crystal structure
```
data_Ba4CuPdI2
_symmetry_space_group_name_H-M 'P 1'
_symmetry_Int_Tables_number 1
_cell_length_a 8.0811
_cell_length_b 4.6738
_cell_length_c 9.2451
_cell_angle_alpha 90.00
_cell_angle_beta 107.00
_cell_angle_gamma 90.00
loop_
_symmetry_equiv_pos_as_xyz
'x,y,z'
loop_
_atom_site_label
_atom_site_type_symbol
_atom_site_fract_x
_atom_site_fract_y
_atom_site_fract_z
Ba1 Ba 0.2305 0.0000 0.2039
Ba2 Ba 0.2614 0.5000 0.7944
Ba3 Ba 0.7386 0.5000 0.2056
Ba4 Ba 0.7695 0.0000 0.7961
Cu1 Cu 0.5000 0.0000 0.0000
Pd1 Pd 0.0000 0.5000 0.0000
I1 I 0.0000 0.0000 0.5000
I2 I 0.5000 0.5000 0.5000
```

Top 8 peaks for 2θ = 10–90°, by angle:
2theta, I (rel.)
25.80, 100
27.74, 10
35.00, 35
38.56, 37
46.98, 19
53.05, 10
57.41, 11
62.34, 16

(10)
Ba2CuPtI: theoretical X-ray powder pattern (Cu Kα (weighted mean of Kα1 and Kα2)), based on a cell relaxed with PBE.
Neutral-atom scattering factors, no anomalous dispersion.

Crystal structure
```
data_Ba2CuPtI
_symmetry_space_group_name_H-M 'P 1'
_symmetry_Int_Tables_number 1
_cell_length_a 6.1552
_cell_length_b 6.1552
_cell_length_c 4.8472
_cell_angle_alpha 90.00
_cell_angle_beta 90.00
_cell_angle_gamma 90.00
loop_
_symmetry_equiv_pos_as_xyz
'x,y,z'
loop_
_atom_site_label
_atom_site_type_symbol
_atom_site_fract_x
_atom_site_fract_y
_atom_site_fract_z
Ba1 Ba 0.0000 0.5000 0.0000
Ba2 Ba 0.5000 0.0000 0.0000
Cu1 Cu 0.0000 0.0000 0.5000
Pt1 Pt 0.0000 0.0000 0.0000
I1 I 0.5000 0.5000 0.5000
```

Top 8 peaks for 2θ = 10–90°, by angle:
2theta, I (rel.)
23.36, 49
27.54, 39
29.01, 100
37.09, 26
37.58, 29
41.50, 38
47.77, 50
56.86, 30

(11)
RbBa3Cu4I12: theoretical X-ray powder pattern (Cu Kα (weighted mean of Kα1 and Kα2)), based on a cell relaxed with PBE.
Neutral-atom scattering factors, no anomalous dispersion.

Crystal structure
```
data_RbBa3Cu4I12
_symmetry_space_group_name_H-M 'P 1'
_symmetry_Int_Tables_number 1
_cell_length_a 10.5355
_cell_length_b 10.5355
_cell_length_c 10.5355
_cell_angle_alpha 103.70
_cell_angle_beta 103.70
_cell_angle_gamma 103.70
loop_
_symmetry_equiv_pos_as_xyz
'x,y,z'
loop_
_atom_site_label
_atom_site_type_symbol
_atom_site_fract_x
_atom_site_fract_y
_atom_site_fract_z
Rb1 Rb 0.0000 0.0000 0.0000
Ba1 Ba 0.0000 0.5407 0.4593
Ba2 Ba 0.4593 0.0000 0.5407
Ba3 Ba 0.5407 0.4593 0.0000
Cu1 Cu 0.0521 0.5000 0.9479
Cu2 Cu 0.5000 0.5000 0.5000
Cu3 Cu 0.5000 0.9479 0.0521
Cu4 Cu 0.9479 0.0521 0.5000
I1 I 0.0163 0.6517 0.8002
I2 I 0.1040 0.8960 0.5000
I3 I 0.1998 0.3483 0.9837
I4 I 0.3482 0.6518 0.5000
I5 I 0.3483 0.9837 0.1998
I6 I 0.5000 0.1040 0.8960
I7 I 0.5000 0.3482 0.6518
I8 I 0.6518 0.5000 0.3482
I9 I 0.6517 0.8002 0.0163
I10 I 0.8002 0.0163 0.6517
I11 I 0.8960 0.5000 0.1040
I12 I 0.9837 0.1998 0.3483
```

Top 8 peaks for 2θ = 10–90°, by angle:
2theta, I (rel.)
17.67, 53
18.24, 100
20.13, 56
26.13, 97
29.58, 55
35.27, 38
40.92, 33
52.46, 32